Diffraction record for HoErCoCu. The X-ray diffraction stick pattern is calculated, not measured: it uses a crystal structure in Alexandria, relaxed with GGA-PBE and Cu Kα (λ = 1.5418 Å).

Crystal structure
a b c (Å): 4.194 5.410 5.410
angles (deg): 40.78 90.00 90.00
Element x y z (fractional)
Ho 0.000 0.000 0.000
Er 0.500 0.718 0.718
Co 0.000 0.286 0.286
Cu 0.500 0.426 0.426

Main lines, by angle (2θ = 15–90°):
2θ = 27.60°, I 400; 2θ = 33.15°, I 1000; 2θ = 35.40°, I 234; 2θ = 35.67°, I 444; 2θ = 41.62°, I 181; 2θ = 41.86°, I 430; 2θ = 43.14°, I 265; 2θ = 48.29°, I 190; 2θ = 57.18°, I 228; 2θ = 85.42°, I 142